Simulated XRD peak list
Compound: K3Mn2AgBr8
Radiation: copper Kα
Structure: a GGA-PBE-relaxed structure

Atomic structure:
```
K3Mn2AgBr8
1.0
7.7999 0.0000 0.0000
-3.9000 6.7549 0.0000
0.0000 0.0000 9.4293
K Mn Ag Br
3 2 1 8
direct
0.0000 0.0000 0.0000
0.3333 0.6667 0.6027
0.6667 0.3333 0.3973
0.3333 0.6667 0.1957
0.6667 0.3333 0.8043
0.0000 0.0000 0.5000
0.1653 0.3306 0.3095
0.1653 0.8347 0.3095
0.3306 0.1653 0.6905
0.3333 0.6667 0.9390
0.6667 0.3333 0.0610
0.6694 0.8347 0.3095
0.8347 0.1653 0.6905
0.8347 0.6694 0.6905
```

Principal peaks in the range 2θ from 5° to 70°, in order of rising 2θ:
- 16.1 deg, I = 99
- 22.8 deg, I = 65
- 28.1 deg, I = 100
- 32.6 deg, I = 81
- 46.6 deg, I = 73
- 47.0 deg, I = 59

Simulated XRD peak list
Compound: KAgMoBr6
Radiation: copper Kα
Structure: a GGA-PBE-relaxed structure

Atomic structure:
```
KAgMoBr6
1.0
7.2009 0.0000 0.0000
-3.6004 6.2361 0.0000
0.0000 0.0000 13.9617
K Ag Mo Br
2 2 2 12
direct
0.0000 0.0000 0.0000
0.0000 0.0000 0.5000
0.3333 0.6667 0.2500
0.6667 0.3333 0.7500
0.3333 0.6667 0.7500
0.6667 0.3333 0.2500
0.0331 0.3862 0.6439
0.0331 0.6469 0.8561
0.3531 0.3862 0.8561
0.3531 0.9669 0.6439
0.3862 0.0331 0.1439
0.3862 0.3531 0.3561
0.6138 0.6469 0.6439
0.6138 0.9669 0.8561
0.6469 0.0331 0.3561
0.6469 0.6138 0.1439
0.9669 0.3531 0.1439
0.9669 0.6138 0.3561
```

Principal peaks in the range 2θ from 5° to 70°, in order of rising 2θ:
- 12.7 deg, I = 54
- 19.1 deg, I = 42
- 27.9 deg, I = 100
- 35.8 deg, I = 75
- 43.5 deg, I = 36
- 46.5 deg, I = 32

Simulated XRD peak list
Compound: K2AgMoBr6
Radiation: copper Kα
Structure: a GGA-PBE-relaxed structure

Atomic structure:
```
K2AgMoBr6
1.0
0.0000 5.4396 5.4396
5.4396 0.0000 5.4396
5.4396 5.4396 0.0000
K Ag Mo Br
2 1 1 6
direct
0.2500 0.2500 0.2500
0.7500 0.7500 0.7500
0.0000 0.0000 0.0000
0.5000 0.5000 0.5000
0.2597 0.2597 0.7403
0.2597 0.7403 0.2597
0.2597 0.7403 0.7403
0.7403 0.2597 0.2597
0.7403 0.2597 0.7403
0.7403 0.7403 0.2597
```

Principal peaks in the range 2θ from 5° to 70°, in order of rising 2θ:
- 16.3 deg, I = 80
- 28.4 deg, I = 42
- 32.9 deg, I = 100
- 37.0 deg, I = 40
- 47.3 deg, I = 69
- 58.8 deg, I = 23